# Cd15Ag
Calculated powder diffractogram, λ = 1.5418 Å (Cu Kα). Input: DFT lattice parameters and positions (GGA-PBE).

Principal peaks in the range 2θ = 5–70°, in order of falling intensity:
| d_spacing | I (rel.) |
| --- | --- |
| 2.378 | 100 |
| 2.678 | 31 |
| 2.653 | 23 |
| 1.481 | 21 |
| 1.532 | 16 |
| 1.885 | 16 |

Structure:
Cell: 6.1276 6.1276 10.7124 Å, 90.00 90.00 120.00°
Space group P-6m2 (No. 187)
Unique sites:
Cd 0.0000 0.0000 0.0000
Cd 0.0018 0.5009 0.5000
Cd 0.3315 0.1658 0.2565
Cd 0.3333 0.6667 0.2462
Cd 0.5011 0.0022 0.0000
Ag 0.0000 0.0000 0.5000


# Cd5Ag3
Calculated powder diffractogram, λ = 1.5418 Å (Cu Kα). Input: DFT lattice parameters and positions (GGA-PBE).

Principal peaks in the range 2θ = 5–70°, in order of falling intensity:
| d_spacing | I (rel.) |
| --- | --- |
| 2.452 | 100 |
| 2.339 | 44 |
| 1.371 | 30 |
| 1.439 | 17 |
| 1.654 | 14 |
| 1.826 | 10 |

Structure:
Cell: 3.308 3.308 14.607 Å, 90.00 90.00 90.00°
Space group P4/mmm (No. 123)
Unique sites:
Cd 0.000 0.000 0.000
Cd 0.000 0.000 0.243
Cd 0.500 0.500 0.378
Ag 0.000 0.000 0.500
Ag 0.500 0.500 0.121


# Cd3Ag
Calculated powder diffractogram, λ = 1.5418 Å (Cu Kα). Input: DFT lattice parameters and positions (GGA-PBE).

Principal peaks in the range 2θ = 5–70°, in order of falling intensity:
| d_spacing | I (rel.) |
| --- | --- |
| 2.516 | 100 |
| 2.198 | 33 |
| 1.534 | 20 |
| 2.142 | 15 |
| 1.554 | 11 |

Structure:
Cell: 4.397 4.397 8.567 Å, 90.00 90.00 90.00°
Space group I4/mmm (No. 139)
Unique sites:
Cd 0.000 0.000 0.000
Cd 0.000 0.500 0.250
Ag 0.000 0.000 0.500


# Cd3Ag2
Calculated powder diffractogram, λ = 1.5418 Å (Cu Kα). Input: DFT lattice parameters and positions (GGA-PBE).

Principal peaks in the range 2θ = 5–70°, in order of falling intensity:
| d_spacing | I (rel.) |
| --- | --- |
| 2.479 | 100 |
| 2.203 | 36 |
| 1.500 | 19 |
| 2.048 | 14 |
| 1.557 | 11 |
| 2.133 | 1 |

Structure:
Cell: 3.115 3.115 20.481 Å, 90.00 90.00 90.00°
Space group I4/mmm (No. 139)
Unique sites:
Cd 0.000 0.000 0.000
Cd 0.000 0.000 0.195
Ag 0.000 0.000 0.403


Please write out number 3 again, unchanged.
# Cd3Ag
Calculated powder diffractogram, λ = 1.5418 Å (Cu Kα). Input: DFT lattice parameters and positions (GGA-PBE).

Principal peaks in the range 2θ = 5–70°, in order of falling intensity:
| d_spacing | I (rel.) |
| --- | --- |
| 2.516 | 100 |
| 2.198 | 33 |
| 1.534 | 20 |
| 2.142 | 15 |
| 1.554 | 11 |

Structure:
Cell: 4.397 4.397 8.567 Å, 90.00 90.00 90.00°
Space group I4/mmm (No. 139)
Unique sites:
Cd 0.000 0.000 0.000
Cd 0.000 0.500 0.250
Ag 0.000 0.000 0.500